Diffraction record for BaCr2PtO8. The powder X-ray diffraction pattern is calculated, not measured: it uses DFT lattice parameters and positions (GGA+U) and λ = 1.5418 Å (Cu Kα).
Lines closer than 0.1° are merged.

Cell and atoms:
```
data_BaCr2PtO8
_chemical_formula_sum 'Ba1 Cr2 Pt1 O8'
_cell_length_a 5.1827
_cell_length_b 5.1827
_cell_length_c 7.6324
_cell_angle_alpha 90.00
_cell_angle_beta 90.00
_cell_angle_gamma 120.00
_space_group_name_H-M_alt 'P -3'
_space_group_IT_number 147
loop_
_space_group_symop_operation_xyz
'x,y,z'
'-x,-y,-z'
'-y,x-y,z'
'y,-x+y,-z'
'-x+y,-x,z'
'x-y,x,-z'
loop_
_atom_site_label
_atom_site_type_symbol
_atom_site_fract_x
_atom_site_fract_y
_atom_site_fract_z
Ba1 Ba 0.0000 0.0000 0.0000
Cr1 Cr 0.3333 0.6667 0.7271
Pt1 Pt 0.0000 0.0000 0.5000
O1 O 0.0369 0.3222 0.6636
O2 O 0.3333 0.6667 0.9467
```

Main lines, low angle first (2θ = 15–90°):
two_theta	I_rel	index
19.78	78	1 0 0
22.99	30	0 1 1
30.75	100	0 1 2
34.61	50	1 1 0
46.97	33	0 2 2
59.64	32	3 -2 2